Entry 1:
Calculated powder diffractogram
Compound: Ac2Cu3Rh2
Radiation: CuKα
Structure: the PBE geometry in Alexandria
No peak broadening, texture or thermal motion is included.

Main lines, in order of rising 2θ (2θ from 10° to 80°):
d (Å)  2θ (°)  intensity
3.985  22.31  209
3.522  25.29  229
3.249  27.45  479
3.182  28.04  455
3.059  29.19  220
2.715  32.99  1000
2.655  33.75  356
2.385  37.72  627
2.282  39.49  694
2.153  41.96  543

Structure:
```
Ac2Cu3Rh2
1.0
5.3979 -2.1537 0.0000
5.3979 2.1537 0.0000
-1.5432 0.0000 6.3644
Ac Cu Rh
2 3 2
direct
0.1674 0.1674 0.2371 Ac
0.8326 0.8326 0.7629 Ac
0.4324 0.4324 0.1200 Cu
0.5000 0.5000 0.5000 Cu
0.5676 0.5676 0.8800 Cu
0.1111 0.1111 0.6887 Rh
0.8889 0.8889 0.3113 Rh
```


Entry 2:
Calculated powder diffractogram
Compound: CrIr12Ru3
Radiation: CuKα
Structure: the PBE geometry in Alexandria
No peak broadening, texture or thermal motion is included.

Main lines, in order of rising 2θ (2θ from 10° to 80°):
d (Å)  2θ (°)  intensity
3.851  23.10  68
2.723  32.89  58
2.223  40.58  1000
1.925  47.21  488
1.722  53.19  32
1.572  58.73  24
1.361  68.98  316
1.284  73.83  16
1.218  78.56  11

Structure:
```
CrIr12Ru3
1.0
3.8509 0.0000 0.0000
0.0000 3.8509 0.0000
0.0000 0.0000 15.4010
Cr Ir Ru
1 12 3
direct
0.0000 0.0000 0.0000 Cr
0.0000 0.5000 0.1234 Ir
0.0000 0.5000 0.3744 Ir
0.0000 0.5000 0.6256 Ir
0.0000 0.5000 0.8766 Ir
0.5000 0.0000 0.1234 Ir
0.5000 0.0000 0.3744 Ir
0.5000 0.0000 0.6256 Ir
0.5000 0.0000 0.8766 Ir
0.5000 0.5000 0.0000 Ir
0.5000 0.5000 0.2493 Ir
0.5000 0.5000 0.5000 Ir
0.5000 0.5000 0.7507 Ir
0.0000 0.0000 0.2495 Ru
0.0000 0.0000 0.5000 Ru
0.0000 0.0000 0.7505 Ru
```


Entry 3:
Calculated powder diffractogram
Compound: Mg2MnPt9
Radiation: CuKα
Structure: the PBE geometry in Alexandria
No peak broadening, texture or thermal motion is included.

Main lines, in order of rising 2θ (2θ from 10° to 80°):
d (Å)  2θ (°)  intensity
3.949  22.52  203
2.792  32.05  170
2.280  39.53  1000
1.974  45.96  490
1.766  51.77  92
1.612  57.14  69
1.396  67.03  320
1.316  71.70  39
1.316  71.73  6
1.249  76.25  31

Structure:
```
Mg2MnPt9
1.0
3.9473 0.0000 0.0000
0.0000 3.9473 0.0000
0.0000 0.0000 11.8564
Mg Mn Pt
2 1 9
direct
0.0000 0.0000 0.1670 Mg
0.0000 0.0000 0.8330 Mg
0.0000 0.0000 0.5000 Mn
0.0000 0.5000 0.0000 Pt
0.0000 0.5000 0.3361 Pt
0.0000 0.5000 0.6639 Pt
0.5000 0.0000 0.0000 Pt
0.5000 0.0000 0.3361 Pt
0.5000 0.0000 0.6639 Pt
0.5000 0.5000 0.1679 Pt
0.5000 0.5000 0.5000 Pt
0.5000 0.5000 0.8321 Pt
```


Entry 4:
Calculated powder diffractogram
Compound: Rb3Dy2YS6
Radiation: CuKα
Structure: the PBE geometry in Alexandria
No peak broadening, texture or thermal motion is included.

Main lines, in order of rising 2θ (2θ from 10° to 80°):
d (Å)  2θ (°)  intensity
7.690  11.51  218
3.845  23.13  227
3.379  26.37  411
3.014  29.64  1000
2.234  40.37  361
2.041  44.39  334
1.932  47.04  139
1.803  50.64  210
1.690  54.29  173
1.301  72.65  144

Structure:
```
Rb3Dy2YS6
1.0
3.5346 -6.1221 0.0000
3.5346 6.1221 0.0000
-2.3567 0.0000 7.6897
Rb Dy Y S
3 2 1 6
direct
0.0000 0.0000 0.0000 Rb
0.3334 0.6666 0.0000 Rb
0.6666 0.3334 0.0000 Rb
0.1667 0.8333 0.5000 Dy
0.8333 0.1667 0.5000 Dy
0.5000 0.5000 0.5000 Y
0.1022 0.4360 0.3080 S
0.2302 0.2302 0.6920 S
0.4360 0.1022 0.3080 S
0.5640 0.8978 0.6920 S
0.7698 0.7698 0.3080 S
0.8978 0.5640 0.6920 S
```


Entry 5:
Calculated powder diffractogram
Compound: Pm3NdSm2Ho6
Radiation: CuKα
Structure: the PBE geometry in Alexandria
No peak broadening, texture or thermal motion is included.

Main lines, in order of rising 2θ (2θ from 10° to 80°):
d (Å)  2θ (°)  intensity
2.931  30.50  1000
2.903  30.80  325
2.532  35.45  671
1.797  50.81  242
1.784  51.20  237
1.532  60.43  144
1.528  60.60  285
1.520  60.95  140
1.465  63.48  124
1.266  75.02  76

Structure:
```
Pm3NdSm2Ho6
1.0
3.1130 -5.3900 0.0000
3.1130 5.3900 0.0000
-2.0683 0.0000 11.6123
Pm Nd Sm Ho
3 1 2 6
direct
0.0000 0.0000 0.0000 Pm
0.3333 0.6667 0.0000 Pm
0.6667 0.3333 0.0000 Pm
0.5000 0.5000 0.5000 Nd
0.1667 0.8333 0.5000 Sm
0.8333 0.1667 0.5000 Sm
0.0830 0.4165 0.2501 Ho
0.2499 0.2499 0.7499 Ho
0.4165 0.0830 0.2501 Ho
0.5835 0.9170 0.7499 Ho
0.7501 0.7501 0.2501 Ho
0.9170 0.5835 0.7499 Ho
```


Entry 6:
Calculated powder diffractogram
Compound: Al13Co4
Radiation: CuKα
Structure: the PBE geometry in Alexandria
No peak broadening, texture or thermal motion is included.

Main lines, in order of rising 2θ (2θ from 10° to 80°):
d (Å)  2θ (°)  intensity
4.008  22.18  296
3.939  22.57  226
3.600  24.73  238
3.566  24.97  306
2.072  43.69  1000
2.067  43.81  309
2.050  44.17  969
2.025  44.76  753
2.019  44.88  343
1.440  64.76  223

Structure:
```
Al13Co4
1.0
7.5595 -4.1042 0.0000
7.5595 4.1042 0.0000
-3.7824 0.0000 11.8167
Al Co
39 12
direct
0.0000 0.0000 0.0000 Al
0.0257 0.0257 0.6702 Al
0.0821 0.6433 0.9783 Al
0.0843 0.6572 0.6105 Al
0.0936 0.5373 0.3867 Al
0.1013 0.5432 0.1687 Al
0.1737 0.1737 0.2175 Al
0.2109 0.2109 0.7342 Al
0.2242 0.7608 0.8275 Al
0.2392 0.7758 0.1725 Al
0.2501 0.7499 0.5000 Al
0.2550 0.2550 0.5193 Al
0.2616 0.2616 0.9810 Al
0.3428 0.9157 0.3895 Al
0.3567 0.9179 0.0217 Al
0.4028 0.4028 0.7096 Al
0.4225 0.4225 0.9177 Al
0.4353 0.4353 0.3263 Al
0.4568 0.8987 0.8313 Al
0.4627 0.9064 0.6133 Al
0.5373 0.0936 0.3867 Al
0.5432 0.1013 0.1687 Al
0.5647 0.5647 0.6737 Al
0.5775 0.5775 0.0823 Al
0.5972 0.5972 0.2904 Al
0.6433 0.0821 0.9783 Al
0.6572 0.0843 0.6105 Al
0.7384 0.7384 0.0190 Al
0.7450 0.7450 0.4807 Al
0.7499 0.2501 0.5000 Al
0.7608 0.2242 0.8275 Al
0.7758 0.2392 0.1725 Al
0.7891 0.7891 0.2658 Al
0.8263 0.8263 0.7825 Al
0.8987 0.4568 0.8313 Al
0.9064 0.4627 0.6133 Al
0.9157 0.3428 0.3895 Al
0.9179 0.3567 0.0217 Al
0.9743 0.9743 0.3298 Al
0.1001 0.1001 0.5179 Co
0.1000 0.5466 0.7794 Co
0.1020 0.1020 0.8760 Co
0.4090 0.4090 0.5155 Co
0.4168 0.4168 0.1151 Co
0.4534 0.9000 0.2206 Co
0.5466 0.1000 0.7794 Co
0.5832 0.5832 0.8849 Co
0.5910 0.5910 0.4845 Co
0.8980 0.8980 0.1240 Co
0.9000 0.4534 0.2206 Co
0.8999 0.8999 0.4821 Co
```


Entry 7:
Calculated powder diffractogram
Compound: MnCo5N4
Radiation: CuKα
Structure: the PBE geometry in Alexandria
No peak broadening, texture or thermal motion is included.

Main lines, in order of rising 2θ (2θ from 10° to 80°):
d (Å)  2θ (°)  intensity
2.958  30.21  163
2.328  38.68  988
2.265  39.81  515
2.234  40.38  581
2.031  44.62  1000
1.798  50.78  141
1.590  57.99  613
1.479  62.83  163
1.319  71.51  114
1.257  75.63  126

Structure:
```
MnCo5N4
1.0
5.9163 0.0000 0.0000
0.0000 6.8156 0.0000
0.0000 0.0000 4.5291
Mn Co N
2 10 8
direct
0.2500 0.2500 0.1823 Mn
0.7500 0.7500 0.8177 Mn
0.0266 0.5643 0.2464 Co
0.0266 0.9357 0.2464 Co
0.2500 0.7500 0.7359 Co
0.4734 0.5643 0.2464 Co
0.4734 0.9357 0.2464 Co
0.5266 0.0643 0.7536 Co
0.5266 0.4357 0.7536 Co
0.7500 0.2500 0.2641 Co
0.9734 0.0643 0.7536 Co
0.9734 0.4357 0.7536 Co
0.0279 0.2500 0.4686 N
0.2500 0.0150 0.9547 N
0.2500 0.4850 0.9547 N
0.4721 0.2500 0.4686 N
0.5279 0.7500 0.5314 N
0.7500 0.5150 0.0453 N
0.7500 0.9850 0.0453 N
0.9721 0.7500 0.5314 N
```